(1)
For ErAgC2O8, a cell relaxed with GGA-PBE gives the calculated X-ray diffraction stick pattern in this record (λ = 1.5418 Å (Cu Kα)).
Peak positions follow from Bragg's law for the DFT cell and can differ from measured ones.

a b c (Å): 5.1804 5.1804 6.6885
angles (deg): 90.00 90.00 120.00
Positions (direct):
Er  0.0000  0.0000  0.0000
Ag  0.0000  0.0000  0.5000
C  0.3333  0.6667  0.7227
C  0.6667  0.3333  0.2773
O  0.1879  0.3758  0.7869
O  0.1879  0.8121  0.7869
O  0.3333  0.6667  0.5170
O  0.3758  0.1879  0.2131
O  0.6242  0.8121  0.7869
O  0.6667  0.3333  0.4830
O  0.8121  0.1879  0.2131
O  0.8121  0.6242  0.2131

Peak list (12 most intense, 2θ from 5° to 70°, low angle first)
- d 4.486, intensity 1000
- d 3.726, intensity 193
- d 2.681, intensity 638
- d 2.590, intensity 369
- d 2.243, intensity 112
- d 2.048, intensity 392
- d 1.863, intensity 289
- d 1.696, intensity 187
- d 1.567, intensity 114
- d 1.512, intensity 173
- d 1.405, intensity 104
- d 1.365, intensity 103

=====

(2)
For SiOs4Se, a cell relaxed with GGA-PBE gives the calculated X-ray diffraction stick pattern in this record (λ = 1.5418 Å (Cu Kα)).
Peak positions follow from Bragg's law for the DFT cell and can differ from measured ones.

a b c (Å): 5.2052 5.2052 5.2052
angles (deg): 60.00 60.00 60.00
Positions (direct):
Si  0.0000  0.0000  0.0000
Os  0.1246  0.6251  0.6251
Os  0.6251  0.1246  0.6251
Os  0.6251  0.6251  0.1246
Os  0.6251  0.6251  0.6251
Se  0.2500  0.2500  0.2500

Peak list (9 most intense, 2θ from 5° to 70°, low angle first)
- d 4.250, intensity 782
- d 3.681, intensity 13
- d 2.603, intensity 46
- d 2.220, intensity 1000
- d 2.125, intensity 810
- d 1.840, intensity 288
- d 1.689, intensity 194
- d 1.503, intensity 16
- d 1.417, intensity 323

=====

(3)
For Tb5Sm4Tm4, a cell relaxed with GGA-PBE gives the calculated X-ray diffraction stick pattern in this record (λ = 1.5418 Å (Cu Kα)).
Peak positions follow from Bragg's law for the DFT cell and can differ from measured ones.

a b c (Å): 9.4200 9.4200 9.4200
angles (deg): 94.07 94.07 149.09
Positions (direct):
Tb  0.0000  0.0000  0.0000
Tb  0.3093  0.4604  0.7697
Tb  0.4604  0.6907  0.1510
Tb  0.5396  0.3093  0.8490
Tb  0.6907  0.5396  0.2303
Sm  0.0777  0.6171  0.6947
Sm  0.3829  0.0777  0.4606
Sm  0.6171  0.9223  0.5394
Sm  0.9223  0.3829  0.3053
Tm  0.1538  0.2306  0.3844
Tm  0.2306  0.8462  0.0768
Tm  0.7694  0.1538  0.9232
Tm  0.8462  0.7694  0.6156

Peak list (7 most intense, 2θ from 5° to 70°, low angle first)
- d 2.905, intensity 1000
- d 2.518, intensity 339
- d 2.511, intensity 168
- d 1.779, intensity 361
- d 1.518, intensity 286
- d 1.515, intensity 142
- d 1.452, intensity 123

=====

(4)
For TbMg3Pd4, a cell relaxed with GGA-PBE gives the calculated X-ray diffraction stick pattern in this record (λ = 1.5418 Å (Cu Kα)).
Peak positions follow from Bragg's law for the DFT cell and can differ from measured ones.

a b c (Å): 4.6805 4.6805 6.4734
angles (deg): 90.00 90.00 90.00
Positions (direct):
Tb  0.0000  0.0000  0.0000
Mg  0.0000  0.0000  0.5000
Mg  0.5000  0.5000  0.0000
Mg  0.5000  0.5000  0.5000
Pd  0.0000  0.5000  0.2653
Pd  0.0000  0.5000  0.7347
Pd  0.5000  0.0000  0.2653
Pd  0.5000  0.0000  0.7347

Peak list (12 most intense, 2θ from 5° to 70°, low angle first)
- d 6.473, intensity 56
- d 4.681, intensity 121
- d 3.793, intensity 147
- d 3.310, intensity 123
- d 3.237, intensity 54
- d 2.947, intensity 135
- d 2.662, intensity 59
- d 2.340, intensity 529
- d 2.314, intensity 1000
- d 1.655, intensity 179
- d 1.618, intensity 75
- d 1.346, intensity 345

=====

(5)
For Tb2PmGa3, a cell relaxed with GGA-PBE gives the calculated X-ray diffraction stick pattern in this record (λ = 1.5418 Å (Cu Kα)).
Peak positions follow from Bragg's law for the DFT cell and can differ from measured ones.

a b c (Å): 3.6022 3.6022 10.9199
angles (deg): 90.00 90.00 90.00
Positions (direct):
Tb  0.0000  0.0000  0.1636
Tb  0.0000  0.0000  0.8364
Pm  0.0000  0.0000  0.5000
Ga  0.5000  0.5000  0.0000
Ga  0.5000  0.5000  0.3256
Ga  0.5000  0.5000  0.6744

Peak list (12 most intense, 2θ from 5° to 70°, low angle first)
- d 3.640, intensity 79
- d 3.602, intensity 153
- d 2.560, intensity 1000
- d 2.547, intensity 496
- d 2.087, intensity 71
- d 1.820, intensity 89
- d 1.801, intensity 175
- d 1.624, intensity 34
- d 1.614, intensity 32
- d 1.611, intensity 32
- d 1.481, intensity 179
- d 1.473, intensity 358

=====

(6)
For LaPrTm4, a cell relaxed with GGA-PBE gives the calculated X-ray diffraction stick pattern in this record (λ = 1.5418 Å (Cu Kα)).
Peak positions follow from Bragg's law for the DFT cell and can differ from measured ones.

a b c (Å): 3.4772 5.6711 9.8225
angles (deg): 90.00 90.00 90.00
Positions (direct):
La  0.0000  0.0000  0.0000
Pr  0.0000  0.5000  0.5000
Tm  0.5000  0.0000  0.3342
Tm  0.5000  0.0000  0.6658
Tm  0.5000  0.5000  0.1676
Tm  0.5000  0.5000  0.8324

Peak list (9 most intense, 2θ from 5° to 70°, low angle first)
- d 4.911, intensity 7
- d 3.477, intensity 52
- d 2.837, intensity 1000
- d 2.198, intensity 91
- d 2.006, intensity 169
- d 1.739, intensity 43
- d 1.637, intensity 286
- d 1.482, intensity 180
- d 1.418, intensity 67

=====

(7)
For Ag5Hg2Au6, a cell relaxed with GGA-PBE gives the calculated X-ray diffraction stick pattern in this record (λ = 1.5418 Å (Cu Kα)).
Peak positions follow from Bragg's law for the DFT cell and can differ from measured ones.

a b c (Å): 9.7474 17.5532 2.9087
angles (deg): 90.00 90.00 90.00
Positions (direct):
Ag  0.0000  0.0000  0.0000
Ag  0.0880  0.2782  0.0000
Ag  0.2085  0.5477  0.0000
Ag  0.2915  0.0477  0.0000
Ag  0.4120  0.7782  0.0000
Ag  0.5000  0.5000  0.0000
Ag  0.5880  0.2218  0.0000
Ag  0.7085  0.9523  0.0000
Ag  0.7915  0.4523  0.0000
Ag  0.9120  0.7218  0.0000
Hg  0.1695  0.7113  0.5000
Hg  0.3305  0.2113  0.5000
Hg  0.6695  0.7887  0.5000
Hg  0.8305  0.2887  0.5000
Au  0.0544  0.4243  0.5000
Au  0.0652  0.1345  0.5000
Au  0.1947  0.8845  0.0000
Au  0.3053  0.3845  0.0000
Au  0.4348  0.6345  0.5000
Au  0.4456  0.9243  0.5000
Au  0.5544  0.0757  0.5000
Au  0.5652  0.3655  0.5000
Au  0.6947  0.6155  0.0000
Au  0.8053  0.1155  0.0000
Au  0.9348  0.8655  0.5000
Au  0.9456  0.5757  0.5000

Peak list (12 most intense, 2θ from 5° to 70°, low angle first)
- d 2.802, intensity 259
- d 2.657, intensity 291
- d 2.498, intensity 208
- d 2.428, intensity 764
- d 2.414, intensity 775
- d 2.402, intensity 232
- d 2.385, intensity 352
- d 2.352, intensity 466
- d 2.297, intensity 1000
- d 2.172, intensity 863
- d 2.033, intensity 408
- d 1.454, intensity 211

=====

(8)
For LiY2MnS5, a cell relaxed with GGA-PBE gives the calculated X-ray diffraction stick pattern in this record (λ = 1.5418 Å (Cu Kα)).
Peak positions follow from Bragg's law for the DFT cell and can differ from measured ones.

a b c (Å): 9.1497 9.1497 10.4384
angles (deg): 90.00 90.00 156.10
Positions (direct):
Li  0.2248  0.7752  0.5000
Li  0.7752  0.2248  0.0000
Y  0.1036  0.8964  0.8052
Y  0.1140  0.8860  0.1888
Y  0.8860  0.1140  0.6888
Y  0.8964  0.1036  0.3052
Mn  0.4084  0.5916  0.9885
Mn  0.5916  0.4084  0.4885
S  0.0288  0.9712  0.5671
S  0.3092  0.6908  0.8394
S  0.3215  0.6785  0.1582
S  0.3582  0.6418  0.4980
S  0.4825  0.5175  0.8034
S  0.5175  0.4825  0.3034
S  0.6418  0.3582  0.9980
S  0.6785  0.3215  0.6582
S  0.6908  0.3092  0.3394
S  0.9712  0.0288  0.0671

Peak list (12 most intense, 2θ from 5° to 70°, low angle first)
- d 8.951, intensity 472
- d 4.476, intensity 703
- d 3.493, intensity 232
- d 3.243, intensity 304
- d 3.022, intensity 499
- d 2.747, intensity 378
- d 2.727, intensity 345
- d 2.603, intensity 353
- d 2.537, intensity 556
- d 2.329, intensity 1000
- d 1.895, intensity 331
- d 1.748, intensity 286